Tb3BiSb2: calculated powder X-ray diffraction pattern (Cu Kα X-rays), based on the GGA-PBE geometry in OQMD.
Lines closer than 0.1° are merged.

Structural model:
Lattice parameters (Å, degrees): 4.4213 4.4213 10.8486 90.00 90.00 120.00
Space group P-3m1 (No. 164)
Inequivalent atoms, fractional coordinates:
Tb  0.0000  0.0000  0.0000 x1
Tb  0.3333  0.6667  0.3285 x2
Bi  0.0000  0.0000  0.5000 x1
Sb  0.3333  0.6667  0.8352 x2

Most intense lines, 2θ = 10–90°, by intensity:
28.53 deg, d 3.128, I 100; 40.79 deg, d 2.212, I 76; 66.88 deg, d 1.399, I 35; 50.54 deg, d 1.806, I 28; 74.25 deg, d 1.277, I 20; 59.06 deg, d 1.564, I 13; 74.32 deg, d 1.276, I 7; 88.32 deg, d 1.107, I 4; 88.45 deg, d 1.105, I 4; 24.66 deg, d 3.611, I 2

Cu7Ag3: calculated powder X-ray diffraction pattern (Cu Kα X-rays), based on the GGA-PBE geometry in OQMD.
Lines closer than 0.1° are merged.

Structural model:
Lattice parameters (Å, degrees): 18.4384 2.7468 5.4968 90.00 98.59 90.00
Space group Cm (No. 8)
Inequivalent atoms, fractional coordinates:
Cu  0.0000  0.0000  0.0000 x2
Cu  0.9996  0.0000  0.4667 x2
Cu  0.0982  0.5000  0.2825 x2
Cu  0.3219  0.5000  0.8885 x2
Cu  0.3228  0.5000  0.4003 x2
Cu  0.4082  0.0000  0.1864 x2
Cu  0.4136  0.0000  0.6908 x2
Ag  0.0974  0.5000  0.7820 x2
Ag  0.2143  0.0000  0.5867 x2
Ag  0.2154  0.0000  0.0943 x2

Most intense lines, 2θ = 10–90°, by intensity:
41.14 deg, d 2.194, I 100; 46.76 deg, d 1.943, I 37; 82.91 deg, d 1.164, I 23; 70.88 deg, d 1.329, I 14; 68.27 deg, d 1.374, I 11; 50.03 deg, d 1.823, I 11; 35.87 deg, d 2.503, I 10; 89.28 deg, d 1.097, I 7; 87.83 deg, d 1.112, I 5; 39.54 deg, d 2.279, I 5

ZnCd: calculated powder X-ray diffraction pattern (Cu Kα X-rays), based on the GGA-PBE geometry in OQMD.
Lines closer than 0.1° are merged.

Structural model:
Lattice parameters (Å, degrees): 5.9235 4.8657 7.7522 90.00 100.45 90.00
Space group P2_1/m (No. 11)
Inequivalent atoms, fractional coordinates:
Zn  0.0253  0.2500  0.1018 x2
Zn  0.2025  0.2500  0.8042 x2
Zn  0.4747  0.7500  0.8974 x2
Cd  0.1426  0.7500  0.5791 x2
Cd  0.2999  0.7500  0.2086 x2
Cd  0.3550  0.2500  0.4399 x2

Most intense lines, 2θ = 10–90°, by intensity:
39.98 deg, d 2.255, I 100; 39.66 deg, d 2.272, I 51; 36.95 deg, d 2.433, I 44; 35.26 deg, d 2.545, I 23; 68.62 deg, d 1.368, I 19; 52.00 deg, d 1.759, I 14; 34.91 deg, d 2.570, I 13; 75.10 deg, d 1.265, I 10; 29.77 deg, d 3.001, I 10; 68.40 deg, d 1.372, I 9

BaDy8P4: calculated powder X-ray diffraction pattern (Cu Kα X-rays), based on the GGA-PBE geometry in OQMD.
Lines closer than 0.1° are merged.

Structural model:
Lattice parameters (Å, degrees): 12.6197 12.6197 4.8037 90.00 90.00 90.00
Space group I4/m (No. 87)
Inequivalent atoms, fractional coordinates:
Ba  0.0000  0.0000  0.0000 x2
Dy  0.0295  0.3556  0.0000 x8
Dy  0.1677  0.2393  0.5000 x8
P  0.0488  0.7433  0.5000 x8

Most intense lines, 2θ = 10–90°, by intensity:
28.20 deg, d 3.164, I 100; 34.75 deg, d 2.581, I 42; 31.64 deg, d 2.828, I 32; 37.44 deg, d 2.402, I 25; 30.04 deg, d 2.974, I 22; 22.28 deg, d 3.991, I 21; 40.38 deg, d 2.233, I 21; 41.73 deg, d 2.164, I 14; 47.75 deg, d 1.905, I 13; 48.73 deg, d 1.869, I 12

YErAu2O4: calculated powder X-ray diffraction pattern (Cu Kα X-rays), based on the GGA-PBE geometry in OQMD.
Lines closer than 0.1° are merged.

Structural model:
Lattice parameters (Å, degrees): 3.5115 3.5115 12.2190 90.00 90.00 120.00
Space group P-3m1 (No. 164)
Inequivalent atoms, fractional coordinates:
Y  0.0000  0.0000  0.0000 x1
Er  0.0000  0.0000  0.5000 x1
Au  0.3333  0.6667  0.2514 x2
O  0.3333  0.6667  0.0843 x2
O  0.3333  0.6667  0.4185 x2

Most intense lines, 2θ = 10–90°, by intensity:
32.90 deg, d 2.722, I 100; 30.29 deg, d 2.951, I 94; 29.24 deg, d 3.055, I 45; 52.09 deg, d 1.756, I 36; 60.85 deg, d 1.522, I 36; 36.89 deg, d 2.437, I 34; 54.21 deg, d 1.692, I 30; 47.74 deg, d 1.905, I 26; 63.00 deg, d 1.476, I 16; 83.98 deg, d 1.152, I 15

Fe2SnCl6: calculated powder X-ray diffraction pattern (Cu Kα X-rays), based on the GGA-PBE geometry in OQMD.
Lines closer than 0.1° are merged.

Structural model:
Lattice parameters (Å, degrees): 6.1097 6.1112 7.0546 103.43 103.64 109.28
Space group P1 (No. 1)
Inequivalent atoms, fractional coordinates:
Fe  0.0000  0.0000  0.0000 x1
Fe  0.2535  0.7466  0.9999 x1
Sn  0.6739  0.4212  0.7167 x1
Cl  0.0190  0.4088  0.0962 x1
Cl  0.0975  0.4755  0.6496 x1
Cl  0.2660  0.0117  0.3172 x1
Cl  0.3428  0.0895  0.8863 x1
Cl  0.6625  0.7648  0.0962 x1
Cl  0.7277  0.8451  0.6497 x1

Most intense lines, 2θ = 10–90°, by intensity:
17.43 deg, d 5.089, I 100; 13.72 deg, d 6.452, I 94; 30.24 deg, d 2.955, I 50; 36.93 deg, d 2.434, I 46; 35.27 deg, d 2.545, I 44; 33.02 deg, d 2.712, I 34; 39.39 deg, d 2.287, I 31; 24.76 deg, d 3.595, I 30; 47.72 deg, d 1.906, I 28; 35.68 deg, d 2.516, I 25